Computed powder diffractogram
Compound: Tb4CdSn
Radiation: Cu Kα, 1.54184 Å
Structure: a structure optimized by DFT (PBE)
Neutral-atom scattering factors, no anomalous dispersion.

Main lines, in order of rising 2θ (2θ from 10° to 80°):
| 2θ/deg | d (Å) | intensity |
| --- | --- | --- |
| 16.89 | 5.249 | 22.7 |
| 28.58 | 3.123 | 35.7 |
| 32.00 | 2.797 | 30.4 |
| 33.13 | 2.704 | 61.9 |
| 33.23 | 2.696 | 100.0 |
| 34.42 | 2.606 | 91.3 |
| 38.29 | 2.350 | 34.8 |
| 44.31 | 2.044 | 21.6 |
| 46.73 | 1.944 | 23.8 |
| 59.24 | 1.560 | 19.7 |
| 61.64 | 1.505 | 19.5 |
| 67.08 | 1.395 | 42.0 |

Structural model:
```
Tb4CdSn
1.0
2.704 -10.885 0.000
2.704 10.885 0.000
0.000 0.000 6.520
Tb Cd Sn
8 2 2
Direct
0.064 0.936 0.750
0.205 0.795 0.506
0.205 0.795 0.994
0.370 0.630 0.750
0.630 0.370 0.250
0.795 0.205 0.006
0.795 0.205 0.494
0.936 0.064 0.250
0.074 0.926 0.250
0.926 0.074 0.750
0.342 0.658 0.250
0.658 0.342 0.750
```


Computed powder diffractogram
Compound: V3GaPt
Radiation: Cu Kα, 1.54184 Å
Structure: a structure optimized by DFT (PBE)
Neutral-atom scattering factors, no anomalous dispersion.

Main lines, in order of rising 2θ (2θ from 10° to 80°):
| 2θ/deg | d (Å) | intensity |
| --- | --- | --- |
| 12.13 | 7.297 | 65.2 |
| 24.25 | 3.670 | 25.8 |
| 26.11 | 3.413 | 36.1 |
| 27.56 | 3.236 | 100.0 |
| 28.12 | 3.173 | 70.0 |
| 41.47 | 2.178 | 26.5 |
| 42.11 | 2.146 | 57.4 |
| 42.36 | 2.134 | 59.4 |
| 42.79 | 2.113 | 75.0 |
| 44.23 | 2.048 | 26.6 |
| 44.55 | 2.034 | 33.3 |
| 55.53 | 1.655 | 30.6 |

Structural model:
```
V3GaPt
1.0
5.157 0.000 0.000
0.000 4.267 0.000
-2.049 0.000 7.297
V Ga Pt
6 2 2
Direct
0.000 0.000 0.000
0.000 0.500 0.000
0.111 0.250 0.682
0.477 0.750 0.948
0.523 0.250 0.052
0.889 0.750 0.318
0.376 0.750 0.267
0.624 0.250 0.733
0.312 0.750 0.582
0.688 0.250 0.418
```


Computed powder diffractogram
Compound: Hf6MgOs
Radiation: Cu Kα, 1.54184 Å
Structure: a structure optimized by DFT (PBE)
Neutral-atom scattering factors, no anomalous dispersion.

Main lines, in order of rising 2θ (2θ from 10° to 80°):
| 2θ/deg | d (Å) | intensity |
| --- | --- | --- |
| 18.23 | 4.867 | 15.6 |
| 30.09 | 2.970 | 53.5 |
| 32.77 | 2.733 | 28.5 |
| 33.49 | 2.675 | 100.0 |
| 34.09 | 2.630 | 26.8 |
| 36.94 | 2.434 | 14.2 |
| 38.13 | 2.360 | 13.7 |
| 38.50 | 2.338 | 56.4 |
| 48.10 | 1.892 | 26.9 |
| 51.01 | 1.790 | 23.4 |
| 52.85 | 1.732 | 22.1 |
| 68.45 | 1.371 | 19.2 |

Structural model:
```
Hf6MgOs
1.0
6.305 0.000 0.000
0.000 10.702 0.000
-3.027 0.000 5.260
Hf Mg Os
12 2 2
Direct
0.232 0.213 0.246
0.232 0.787 0.246
0.235 0.000 0.763
0.265 0.500 0.237
0.268 0.287 0.754
0.268 0.713 0.754
0.732 0.287 0.246
0.732 0.713 0.246
0.735 0.500 0.763
0.765 0.000 0.237
0.768 0.213 0.754
0.768 0.787 0.754
0.000 0.500 0.500
0.500 0.000 0.500
0.000 0.000 0.000
0.500 0.500 0.000
```


Computed powder diffractogram
Compound: CuS5Br
Radiation: Cu Kα, 1.54184 Å
Structure: a structure optimized by DFT (PBE)
Neutral-atom scattering factors, no anomalous dispersion.

Main lines, in order of rising 2θ (2θ from 10° to 80°):
| 2θ/deg | d (Å) | intensity |
| --- | --- | --- |
| 16.00 | 5.540 | 52.5 |
| 19.95 | 4.450 | 29.2 |
| 22.98 | 3.870 | 100.0 |
| 26.14 | 3.410 | 24.6 |
| 28.13 | 3.173 | 14.7 |
| 28.58 | 3.123 | 16.5 |
| 30.79 | 2.904 | 37.5 |
| 40.36 | 2.235 | 13.9 |
| 43.28 | 2.090 | 16.7 |
| 47.12 | 1.929 | 14.5 |
| 49.30 | 1.848 | 19.0 |
| 51.04 | 1.789 | 13.1 |

Structural model:
```
CuS5Br
1.0
5.046 0.000 0.000
0.000 22.161 0.000
-1.829 0.000 3.782
Cu S Br
2 10 2
Direct
0.000 0.000 0.000
0.500 0.500 0.000
0.000 0.235 0.000
0.125 0.570 0.756
0.163 0.294 0.753
0.337 0.794 0.247
0.375 0.070 0.244
0.500 0.735 0.000
0.625 0.070 0.756
0.663 0.794 0.753
0.837 0.294 0.247
0.875 0.570 0.244
0.000 0.944 0.500
0.500 0.444 0.500
```


Computed powder diffractogram
Compound: La9Pr4Th
Radiation: Cu Kα, 1.54184 Å
Structure: a structure optimized by DFT (PBE)
Neutral-atom scattering factors, no anomalous dispersion.

Main lines, in order of rising 2θ (2θ from 10° to 80°):
| 2θ/deg | d (Å) | intensity |
| --- | --- | --- |
| 21.57 | 4.119 | 13.2 |
| 30.74 | 2.909 | 60.8 |
| 30.95 | 2.890 | 100.0 |
| 31.42 | 2.847 | 37.5 |
| 35.29 | 2.543 | 15.2 |
| 43.80 | 2.067 | 9.0 |
| 47.50 | 1.914 | 11.7 |
| 50.02 | 1.823 | 24.4 |
| 54.09 | 1.695 | 17.2 |
| 54.41 | 1.686 | 21.2 |
| 54.80 | 1.675 | 8.4 |
| 63.51 | 1.465 | 23.6 |

Structural model:
```
La9Pr4Th
1.0
10.173 0.000 0.000
-5.086 8.810 0.000
0.000 0.000 11.630
La Pr Th
18 8 2
Direct
0.075 0.537 0.250
0.208 0.415 0.536
0.208 0.415 0.964
0.208 0.792 0.536
0.208 0.792 0.964
0.415 0.208 0.036
0.415 0.208 0.464
0.463 0.537 0.250
0.463 0.925 0.250
0.537 0.075 0.750
0.537 0.463 0.750
0.585 0.792 0.536
0.585 0.792 0.964
0.792 0.208 0.036
0.792 0.208 0.464
0.792 0.585 0.036
0.792 0.585 0.464
0.925 0.463 0.750
0.000 0.000 0.000
0.000 0.000 0.500
0.115 0.230 0.250
0.115 0.885 0.250
0.230 0.115 0.750
0.770 0.885 0.250
0.885 0.115 0.750
0.885 0.770 0.750
0.333 0.667 0.750
0.667 0.333 0.250
```


Computed powder diffractogram
Compound: Pm4Ga16Pd3
Radiation: Cu Kα, 1.54184 Å
Structure: a structure optimized by DFT (PBE)
Neutral-atom scattering factors, no anomalous dispersion.

Main lines, in order of rising 2θ (2θ from 10° to 80°):
| 2θ/deg | d (Å) | intensity |
| --- | --- | --- |
| 19.99 | 4.441 | 17.1 |
| 31.22 | 2.865 | 38.1 |
| 32.66 | 2.742 | 28.9 |
| 37.35 | 2.407 | 100.0 |
| 40.09 | 2.249 | 25.0 |
| 40.63 | 2.221 | 76.3 |
| 43.19 | 2.095 | 27.0 |
| 52.11 | 1.755 | 15.1 |
| 58.40 | 1.580 | 23.3 |
| 58.81 | 1.570 | 23.4 |
| 71.77 | 1.315 | 23.7 |
| 75.69 | 1.256 | 14.0 |

Structural model:
```
Pm4Ga16Pd3
1.0
6.281 0.000 0.000
0.000 6.281 0.000
0.000 0.000 11.246
Pm Ga Pd
4 16 3
Direct
0.000 0.500 0.191
0.000 0.500 0.809
0.500 0.000 0.191
0.500 0.000 0.809
0.000 0.000 0.200
0.000 0.000 0.800
0.210 0.210 0.000
0.210 0.790 0.000
0.244 0.244 0.378
0.244 0.244 0.622
0.244 0.756 0.378
0.244 0.756 0.622
0.500 0.500 0.233
0.500 0.500 0.767
0.756 0.244 0.378
0.756 0.244 0.622
0.756 0.756 0.378
0.756 0.756 0.622
0.790 0.210 0.000
0.790 0.790 0.000
0.000 0.500 0.500
0.500 0.000 0.500
0.500 0.500 0.000
```


Computed powder diffractogram
Compound: MgGePbO4
Radiation: Cu Kα, 1.54184 Å
Structure: a structure optimized by DFT (PBE)
Neutral-atom scattering factors, no anomalous dispersion.

Main lines, in order of rising 2θ (2θ from 10° to 80°):
| 2θ/deg | d (Å) | intensity |
| --- | --- | --- |
| 13.53 | 6.543 | 29.1 |
| 18.58 | 4.776 | 54.3 |
| 22.65 | 3.925 | 70.2 |
| 23.77 | 3.743 | 60.4 |
| 24.29 | 3.664 | 100.0 |
| 28.51 | 3.131 | 65.9 |
| 31.33 | 2.855 | 67.7 |
| 31.51 | 2.839 | 85.2 |
| 33.16 | 2.702 | 32.1 |
| 40.97 | 2.203 | 47.4 |
| 46.26 | 1.963 | 37.8 |
| 51.38 | 1.778 | 40.7 |

Structural model:
```
MgGePbO4
1.0
5.571 0.000 0.000
0.000 5.711 0.000
-1.641 0.000 6.543
Mg Ge Pb O
2 2 2 8
Direct
0.186 0.250 0.048
0.814 0.750 0.952
0.281 0.750 0.848
0.719 0.250 0.152
0.271 0.250 0.590
0.729 0.750 0.410
0.063 0.514 0.816
0.063 0.986 0.816
0.487 0.750 0.684
0.497 0.750 0.086
0.503 0.250 0.914
0.513 0.250 0.316
0.937 0.014 0.184
0.937 0.486 0.184
```


Computed powder diffractogram
Compound: PrErTh2S4
Radiation: Cu Kα, 1.54184 Å
Structure: a structure optimized by DFT (PBE)
Neutral-atom scattering factors, no anomalous dispersion.

Main lines, in order of rising 2θ (2θ from 10° to 80°):
| 2θ/deg | d (Å) | intensity |
| --- | --- | --- |
| 26.87 | 3.318 | 24.0 |
| 27.26 | 3.272 | 46.3 |
| 27.43 | 3.252 | 22.9 |
| 31.51 | 2.839 | 100.0 |
| 44.82 | 2.022 | 25.1 |
| 44.99 | 2.015 | 12.3 |
| 45.27 | 2.003 | 12.2 |
| 45.54 | 1.992 | 23.9 |
| 53.08 | 1.725 | 12.5 |
| 53.43 | 1.715 | 8.1 |
| 53.73 | 1.706 | 15.5 |
| 56.23 | 1.636 | 12.8 |

Structural model:
```
PrErTh2S4
1.0
6.887 0.000 0.000
0.000 4.006 0.000
-2.311 0.000 6.637
Pr Er Th S
1 1 2 4
Direct
0.000 0.000 0.000
0.500 0.500 0.000
0.000 0.500 0.500
0.500 0.000 0.500
0.258 0.500 0.245
0.263 0.000 0.762
0.737 0.000 0.238
0.742 0.500 0.755
```


Computed powder diffractogram
Compound: K2NiH6Pd
Radiation: Cu Kα, 1.54184 Å
Structure: a structure optimized by DFT (PBE)
Neutral-atom scattering factors, no anomalous dispersion.

Main lines, in order of rising 2θ (2θ from 10° to 80°):
| 2θ/deg | d (Å) | intensity |
| --- | --- | --- |
| 18.00 | 4.928 | 100.0 |
| 25.34 | 3.515 | 32.5 |
| 31.44 | 2.845 | 85.6 |
| 36.47 | 2.464 | 15.0 |
| 40.36 | 2.235 | 57.9 |
| 40.80 | 2.212 | 9.6 |
| 48.90 | 1.863 | 13.1 |
| 52.03 | 1.758 | 28.0 |
| 55.98 | 1.643 | 14.9 |
| 62.07 | 1.495 | 31.7 |
| 65.63 | 1.423 | 9.2 |
| 79.94 | 1.200 | 14.6 |

Structural model:
```
K2NiH6Pd
1.0
5.690 0.000 0.000
-2.845 4.928 0.000
0.000 0.000 5.015
K Ni H Pd
2 1 6 1
Direct
0.333 0.667 0.238
0.667 0.333 0.762
0.000 0.000 0.000
0.123 0.246 0.786
0.123 0.877 0.786
0.246 0.123 0.214
0.754 0.877 0.786
0.877 0.123 0.214
0.877 0.754 0.214
0.000 0.000 0.500
```


Computed powder diffractogram
Compound: Pm3Ag2Hg2
Radiation: Cu Kα, 1.54184 Å
Structure: a structure optimized by DFT (PBE)
Neutral-atom scattering factors, no anomalous dispersion.

Main lines, in order of rising 2θ (2θ from 10° to 80°):
| 2θ/deg | d (Å) | intensity |
| --- | --- | --- |
| 28.37 | 3.146 | 21.9 |
| 31.00 | 2.885 | 65.1 |
| 31.48 | 2.842 | 31.2 |
| 31.76 | 2.817 | 13.1 |
| 33.99 | 2.637 | 18.7 |
| 34.90 | 2.571 | 100.0 |
| 35.59 | 2.522 | 55.6 |
| 37.36 | 2.407 | 45.9 |
| 50.04 | 1.823 | 12.4 |
| 61.09 | 1.517 | 12.8 |
| 63.47 | 1.466 | 19.7 |
| 64.67 | 1.441 | 12.1 |

Structural model:
```
Pm3Ag2Hg2
1.0
5.045 0.000 0.000
-2.517 5.410 0.000
-0.003 -1.513 6.654
Pm Ag Hg
3 2 2
Direct
0.000 0.000 0.000
0.359 0.719 0.278
0.641 0.281 0.722
0.116 0.228 0.444
0.884 0.772 0.556
0.338 0.676 0.787
0.662 0.324 0.213
```


Computed powder diffractogram
Compound: CaSmGaO4
Radiation: Cu Kα, 1.54184 Å
Structure: a structure optimized by DFT (PBE)
Neutral-atom scattering factors, no anomalous dispersion.

Main lines, in order of rising 2θ (2θ from 10° to 80°):
| 2θ/deg | d (Å) | intensity |
| --- | --- | --- |
| 16.81 | 5.273 | 54.6 |
| 19.17 | 4.631 | 21.4 |
| 27.20 | 3.278 | 19.9 |
| 27.82 | 3.207 | 28.0 |
| 31.56 | 2.835 | 100.0 |
| 32.18 | 2.782 | 51.0 |
| 32.41 | 2.763 | 22.3 |
| 32.92 | 2.721 | 18.7 |
| 38.84 | 2.319 | 35.4 |
| 51.61 | 1.771 | 24.1 |
| 56.11 | 1.639 | 48.4 |
| 57.49 | 1.603 | 15.7 |

Structural model:
```
CaSmGaO4
1.0
-3.207 3.362 4.631
3.207 -3.362 4.631
3.207 3.362 -4.631
Ca Sm Ga O
2 2 2 8
Direct
0.500 0.000 0.000
0.500 0.500 0.500
0.000 0.000 0.000
0.500 0.000 0.500
0.120 0.370 0.750
0.880 0.630 0.250
0.235 0.747 0.488
0.241 0.253 0.988
0.245 0.250 0.505
0.245 0.740 0.995
0.755 0.260 0.005
0.755 0.750 0.495
0.759 0.747 0.012
0.765 0.253 0.512
```


Computed powder diffractogram
Compound: KTlGaAu3
Radiation: Cu Kα, 1.54184 Å
Structure: a structure optimized by DFT (PBE)
Neutral-atom scattering factors, no anomalous dispersion.

Main lines, in order of rising 2θ (2θ from 10° to 80°):
| 2θ/deg | d (Å) | intensity |
| --- | --- | --- |
| 12.67 | 6.989 | 45.5 |
| 20.78 | 4.275 | 100.0 |
| 27.59 | 3.233 | 75.2 |
| 28.69 | 3.112 | 43.8 |
| 29.31 | 3.047 | 25.2 |
| 33.67 | 2.662 | 68.5 |
| 34.58 | 2.594 | 28.6 |
| 37.29 | 2.412 | 21.8 |
| 37.91 | 2.373 | 33.0 |
| 40.17 | 2.245 | 45.2 |
| 40.40 | 2.233 | 27.0 |
| 51.18 | 1.785 | 24.8 |

Structural model:
```
KTlGaAu3
1.0
3.531 -6.989 0.000
3.531 6.989 0.000
-1.159 0.000 6.771
K Tl Ga Au
2 2 2 6
Direct
0.249 0.751 0.750
0.751 0.249 0.250
0.414 0.586 0.250
0.586 0.414 0.750
0.024 0.976 0.250
0.976 0.024 0.750
0.175 0.302 0.520
0.207 0.793 0.250
0.302 0.175 0.020
0.698 0.825 0.980
0.793 0.207 0.750
0.825 0.698 0.480
```